# YFe10Re2
Calculated powder X-ray diffraction pattern, CuKα. Input: a DFT-relaxed cell (GGA-PBE, the Materials Project).
Peak positions follow from Bragg's law for the DFT cell and can differ from measured ones.

Top 10 peaks for 10° ≤ 2θ ≤ 90°, in order of rising 2θ:
2θ (°)  I_rel
14.7  69
21.6  76
36.8  54
37.0  62
38.3  37
42.5  51
42.7  100
44.0  88
47.8  59
49.1  46

Crystal structure
```
13
Lattice="-2.352 4.251 4.287 2.352 -4.251 4.287 2.352 4.251 -4.287" Properties=species:S:1:pos:R:3 pbc="T T T"
Y 0.000 0.000 0.000
Fe 1.176 2.125 -2.143
Fe 1.176 -2.125 2.143
Fe 2.352 1.872 0.000
Fe 2.352 0.000 1.955
Fe 0.000 3.054 0.000
Fe -1.176 2.125 2.143
Fe 1.176 2.125 2.143
Fe 0.000 5.448 0.000
Fe 0.000 4.251 2.332
Fe 0.000 2.378 4.287
Re 0.000 0.000 3.064
Re 0.000 0.000 5.510
```